The following is a computed powder XRD pattern of LiCo2OF3. It was derived from a structure optimized by DFT (PBE+U), using Cu Kα.

Unit cell a=5.992 b=5.992 c=5.166 alpha=90.00 beta=90.00 gamma=120.00
Atoms (fractional coordinates):
Li1 0.333 0.667 0.028
Li2 0.667 0.333 0.972
Co1 0.000 0.000 0.000
Co2 0.000 0.500 0.500
Co3 0.500 0.000 0.500
Co4 0.500 0.500 0.500
O1 0.333 0.667 0.668
O2 0.667 0.333 0.332
F1 0.171 0.342 0.219
F2 0.171 0.829 0.219
F3 0.342 0.171 0.781
F4 0.658 0.829 0.219
F5 0.829 0.171 0.781
F6 0.829 0.658 0.781

Most intense lines, 2θ = 10–80°, by angle:
| Position (°2θ) | intensity | hkl |
| --- | --- | --- |
| 17.16 | 25.9 | 0 0 1 |
| 24.31 | 100.0 | 0 1 1 |
| 34.59 | 59.2 | 2 0 0 |
| 34.73 | 6.4 | 0 0 2 |
| 38.84 | 52.5 | 2 0 1 |
| 49.79 | 95.3 | 0 2 2 |
| 56.07 | 6.7 | 3 0 1 |
| 61.95 | 27.9 | 2 2 0 |
| 62.18 | 11.8 | 1 1 3 |
| 65.00 | 6.1 | 0 2 3 |
| 67.56 | 9.2 | 3 1 1 |
| 72.97 | 9.0 | 4 0 0 |